This entry pairs a crystal structure of Er4AgRh2 with its theoretical PXRD pattern. Radiation: Cu Kα, 1.54184 Å. Structure: a GGA-PBE-relaxed structure.

a b c (Å): 7.2988 7.3194 7.7016
angles (deg): 108.95 108.88 108.25
Space group P1 (No. 1)
Asymmetric unit:
Er (0.0000, 0.0000, 0.0000) [1 per cell]
Er (0.0172, 0.9890, 0.5039) [1 per cell]
Er (0.1096, 0.4722, 0.3705) [1 per cell]
Er (0.3643, 0.8356, 0.1985) [1 per cell]
Er (0.4625, 0.5717, 0.8247) [1 per cell]
Er (0.4883, 0.0985, 0.8778) [1 per cell]
Er (0.5908, 0.4539, 0.3337) [1 per cell]
Er (0.8540, 0.3529, 0.7054) [1 per cell]
Ag (0.6181, 0.8596, 0.6005) [1 per cell]
Ag (0.8687, 0.6105, 0.1036) [1 per cell]
Rh (0.1128, 0.7337, 0.7324) [1 per cell]
Rh (0.2327, 0.3525, 0.9716) [1 per cell]
Rh (0.3687, 0.2142, 0.4702) [1 per cell]
Rh (0.7499, 0.1005, 0.2372) [1 per cell]

Top 8 peaks for 10° ≤ 2θ ≤ 90°, by angle:
2θ = 29.2°, 3.055 Å, rel. 22, (0 2 -2); 2θ = 31.7°, 2.821 Å, rel. 32, (-1 1 2); 2θ = 32.6°, 2.748 Å, rel. 100, (2 -1 1); 2θ = 33.0°, 2.713 Å, rel. 88, (2 1 -2); 2θ = 33.3°, 2.689 Å, rel. 50, (-2 2 1); 2θ = 37.4°, 2.407 Å, rel. 51, (0 1 2); 2θ = 39.5°, 2.280 Å, rel. 27, (1 -3 0); 2θ = 39.6°, 2.274 Å, rel. 24, (3 -1 0)


This entry pairs a crystal structure of ErAgRh with its theoretical PXRD pattern. Radiation: Cu Kα, 1.54184 Å. Structure: a GGA-PBE-relaxed structure.

a b c (Å): 4.4946 9.3895 5.5452
angles (deg): 90.00 90.00 90.00
Space group Cmcm (No. 63)
Asymmetric unit:
Er (0.0000, 0.1933, 0.2500) [4 per cell]
Ag (0.0000, 0.5000, 0.0000) [4 per cell]
Rh (0.0000, 0.1115, 0.7500) [4 per cell]

Top 8 peaks for 10° ≤ 2θ ≤ 90°, by angle:
2θ = 27.2°, 3.273 Å, rel. 29, (1 1 1); 2θ = 34.9°, 2.568 Å, rel. 100, (1 3 0); 2θ = 37.7°, 2.387 Å, rel. 41, (0 2 2); 2θ = 38.6°, 2.331 Å, rel. 46, (1 3 1); 2θ = 39.4°, 2.289 Å, rel. 93, (1 1 2); 2θ = 40.1°, 2.247 Å, rel. 52, (2 0 0); 2θ = 41.8°, 2.162 Å, rel. 25, (0 4 1); 2θ = 78.4°, 1.220 Å, rel. 26, (1 3 4)


This entry pairs a crystal structure of Er6AgRu2 with its theoretical PXRD pattern. Radiation: Cu Kα, 1.54184 Å. Structure: a GGA-PBE-relaxed structure.

a b c (Å): 9.2416 9.3555 10.3134
angles (deg): 90.00 90.00 90.00
Space group Immm (No. 71)
Asymmetric unit:
Er (0.0000, 0.1989, 0.2420) [8 per cell]
Er (0.1856, 0.5000, 0.1697) [8 per cell]
Er (0.2182, 0.3192, 0.5000) [8 per cell]
Ag (0.0000, 0.0000, 0.0000) [2 per cell]
Ag (0.0000, 0.0000, 0.5000) [2 per cell]
Ru (0.0000, 0.3225, 0.0000) [4 per cell]
Ru (0.0000, 0.5000, 0.3720) [4 per cell]

Top 8 peaks for 10° ≤ 2θ ≤ 90°, by angle:
2θ = 30.6°, 2.926 Å, rel. 31, (3 1 0); 2θ = 32.3°, 2.772 Å, rel. 100, (2 2 2); 2θ = 33.9°, 2.646 Å, rel. 55, (2 1 3); 2θ = 35.0°, 2.564 Å, rel. 79, (1 3 2); 2θ = 35.8°, 2.507 Å, rel. 61, (2 3 1); 2θ = 36.0°, 2.496 Å, rel. 33, (3 2 1); 2θ = 39.9°, 2.258 Å, rel. 32, (0 2 4); 2θ = 61.0°, 1.519 Å, rel. 34, (5 3 2)


This entry pairs a crystal structure of SmErAgRu with its theoretical PXRD pattern. Radiation: Cu Kα, 1.54184 Å. Structure: a GGA-PBE-relaxed structure.

a b c (Å): 3.4356 3.4356 7.5726
angles (deg): 90.00 90.00 90.00
Space group P4mm (No. 99)
Asymmetric unit:
Sm (0.0000, 0.0000, 0.0000) [1 per cell]
Er (0.0000, 0.0000, 0.5551) [1 per cell]
Ag (0.5000, 0.5000, 0.2926) [1 per cell]
Ru (0.5000, 0.5000, 0.7683) [1 per cell]

Top 8 peaks for 10° ≤ 2θ ≤ 90°, by angle:
2θ = 35.3°, 2.544 Å, rel. 100, (1 0 2); 2θ = 37.0°, 2.429 Å, rel. 48, (1 1 0); 2θ = 48.1°, 1.893 Å, rel. 8, (0 0 4); 2θ = 53.3°, 1.718 Å, rel. 16, (2 0 0); 2θ = 62.2°, 1.493 Å, rel. 15, (1 1 4); 2θ = 65.6°, 1.424 Å, rel. 32, (2 1 2); 2θ = 74.6°, 1.272 Å, rel. 9, (2 0 4); 2θ = 89.4°, 1.096 Å, rel. 7, (3 0 2)